(1)
Starting from a crystal structure in OQMD, relaxed with PBE, the powder diffraction line list of CsReAg3S4 was computed for Cu Kα X-rays.
Peak positions follow from Bragg's law for the DFT cell and can differ from measured ones.

Principal peaks in the range 10 to 90 degrees two-theta, by intensity:
Position (°2θ)	d_spacing	intensity
39.7	2.268	100
27.8	3.208	68
13.8	6.416	52
19.6	4.537	49
24.0	3.704	44
65.0	1.435	30
72.1	1.310	29
34.2	2.619	22
49.2	1.852	21
47.0	1.934	19
53.4	1.715	16
57.5	1.604	15

Cell and atoms:
a b c (Å): 6.416 6.416 6.416
angles (deg): 90.00 90.00 90.00
Atoms (fractional coordinates):
Cs 0.000 0.000 0.000
Re 0.500 0.500 0.500
Ag 0.000 0.500 0.500
Ag 0.500 0.000 0.500
Ag 0.500 0.500 0.000
S 0.295 0.295 0.295
S 0.295 0.705 0.705
S 0.705 0.295 0.705
S 0.705 0.705 0.295

(2)
Starting from a crystal structure in OQMD, relaxed with PBE, the powder diffraction line list of Cs4Ag6S5 was computed for Cu Kα X-rays.
Peak positions follow from Bragg's law for the DFT cell and can differ from measured ones.

Principal peaks in the range 10 to 90 degrees two-theta, by intensity:
Position (°2θ)	d_spacing	intensity
23.1	3.857	100
30.8	2.905	55
47.1	1.929	28
35.2	2.551	25
30.3	2.947	23
36.7	2.451	23
49.7	1.833	22
15.0	5.895	17
48.3	1.884	16
26.7	3.339	15
34.0	2.634	14
40.8	2.210	14

Cell and atoms:
a b c (Å): 10.201 10.201 5.895
angles (deg): 90.00 90.00 120.00
Atoms (fractional coordinates):
Cs 0.000 0.000 0.000
Cs 0.000 0.615 0.577
Cs 0.385 0.385 0.577
Cs 0.615 0.000 0.577
Ag 0.170 0.472 0.109
Ag 0.302 0.830 0.109
Ag 0.472 0.170 0.109
Ag 0.528 0.698 0.109
Ag 0.698 0.528 0.109
Ag 0.830 0.302 0.109
S 0.000 0.274 0.354
S 0.274 0.000 0.354
S 0.333 0.667 0.853
S 0.667 0.333 0.853
S 0.726 0.726 0.354

(3)
Starting from a crystal structure in OQMD, relaxed with PBE, the powder diffraction line list of Cs2Ag3Sb3S7 was computed for Cu Kα X-rays.
Peak positions follow from Bragg's law for the DFT cell and can differ from measured ones.

Principal peaks in the range 10 to 90 degrees two-theta, by intensity:
Position (°2θ)	d_spacing	intensity
23.2	3.841	100
25.5	3.497	73
28.6	3.125	52
23.7	3.754	52
33.1	2.703	44
47.5	1.913	36
32.8	2.734	36
28.9	3.090	29
26.5	3.365	29
36.3	2.472	26
32.6	2.751	26
31.3	2.856	25

Cell and atoms:
a b c (Å): 13.975 13.975 7.000
angles (deg): 90.00 90.00 39.53
Atoms (fractional coordinates):
Cs 0.025 0.388 0.000
Cs 0.388 0.025 0.500
Cs 0.612 0.975 0.000
Cs 0.975 0.612 0.500
Ag 0.073 0.100 0.439
Ag 0.100 0.073 0.939
Ag 0.172 0.828 0.164
Ag 0.828 0.172 0.664
Ag 0.900 0.927 0.439
Ag 0.927 0.900 0.939
Sb 0.272 0.483 0.008
Sb 0.329 0.671 0.619
Sb 0.483 0.272 0.508
Sb 0.517 0.728 0.008
Sb 0.671 0.329 0.119
Sb 0.728 0.517 0.508
S 0.000 0.325 0.501
S 0.000 0.675 0.001
S 0.114 0.886 0.820
S 0.182 0.676 0.411
S 0.315 0.324 0.749
S 0.324 0.315 0.249
S 0.324 0.818 0.411
S 0.325 0.000 0.001
S 0.675 0.000 0.501
S 0.676 0.182 0.911
S 0.676 0.685 0.749
S 0.685 0.676 0.249
S 0.818 0.324 0.911
S 0.886 0.114 0.320

(4)
Starting from a crystal structure in OQMD, relaxed with PBE, the powder diffraction line list of CsAg3SeS was computed for Cu Kα X-rays.
Peak positions follow from Bragg's law for the DFT cell and can differ from measured ones.

Principal peaks in the range 10 to 90 degrees two-theta, by intensity:
Position (°2θ)	d_spacing	intensity
21.7	4.086	100
44.3	2.043	61
34.2	2.619	40
32.6	2.744	36
13.6	6.532	29
48.0	1.895	23
37.0	2.431	22
27.3	3.266	18
45.1	2.010	16
61.3	1.512	14
63.5	1.465	12
78.7	1.215	11

Cell and atoms:
a b c (Å): 6.049 6.049 6.532
angles (deg): 90.00 90.00 120.00
Atoms (fractional coordinates):
Cs 0.000 0.000 0.000
Ag 0.502 0.004 0.496
Ag 0.502 0.498 0.496
Ag 0.996 0.498 0.496
Se 0.333 0.667 0.770
S 0.667 0.333 0.238

(5)
Starting from a crystal structure in OQMD, relaxed with PBE, the powder diffraction line list of CsTcAgSe2S was computed for Cu Kα X-rays.
Peak positions follow from Bragg's law for the DFT cell and can differ from measured ones.

Principal peaks in the range 10 to 90 degrees two-theta, by intensity:
Position (°2θ)	d_spacing	intensity
29.7	3.008	100
35.7	2.513	76
11.0	8.079	67
33.5	2.671	63
28.3	3.150	57
46.7	1.946	55
40.5	2.228	50
60.2	1.538	49
20.8	4.270	35
53.7	1.708	28
54.1	1.696	28
39.2	2.297	24

Cell and atoms:
a b c (Å): 8.309 8.309 10.058
angles (deg): 90.00 90.00 152.94
Atoms (fractional coordinates):
Cs 0.248 0.752 0.750
Cs 0.752 0.248 0.250
Tc 0.000 0.000 0.000
Tc 0.000 0.000 0.500
Ag 0.459 0.541 0.250
Ag 0.541 0.459 0.750
Se 0.391 0.609 0.020
Se 0.391 0.609 0.480
Se 0.609 0.391 0.520
Se 0.609 0.391 0.980
S 0.056 0.944 0.250
S 0.944 0.056 0.750

(6)
Starting from a crystal structure in OQMD, relaxed with PBE, the powder diffraction line list of CsZrAgSeS2 was computed for Cu Kα X-rays.
Peak positions follow from Bragg's law for the DFT cell and can differ from measured ones.

Principal peaks in the range 10 to 90 degrees two-theta, by intensity:
Position (°2θ)	d_spacing	intensity
11.1	7.986	100
29.8	3.002	87
30.9	2.894	60
34.9	2.570	54
45.7	1.986	54
28.8	3.097	50
22.3	3.993	47
34.8	2.579	44
35.1	2.556	37
16.8	5.278	35
52.8	1.735	34
37.0	2.430	34

Cell and atoms:
a b c (Å): 9.190 3.973 10.023
angles (deg): 90.00 113.17 90.00
Atoms (fractional coordinates):
Cs 0.225 0.250 0.265
Cs 0.775 0.750 0.735
Zr 0.310 0.750 0.839
Zr 0.690 0.250 0.161
Ag 0.078 0.250 0.607
Ag 0.922 0.750 0.393
Se 0.471 0.750 0.141
Se 0.529 0.250 0.859
S 0.141 0.250 0.875
S 0.238 0.750 0.568
S 0.762 0.250 0.432
S 0.859 0.750 0.125

(7)
Starting from a crystal structure in OQMD, relaxed with PBE, the powder diffraction line list of CsAgSnS3 was computed for Cu Kα X-rays.
Peak positions follow from Bragg's law for the DFT cell and can differ from measured ones.

Principal peaks in the range 10 to 90 degrees two-theta, by intensity:
Position (°2θ)	d_spacing	intensity
29.3	3.047	100
11.4	7.784	98
32.8	2.733	74
28.3	3.149	70
22.8	3.892	62
49.6	1.837	44
35.4	2.532	38
40.3	2.237	36
45.1	2.010	33
35.6	2.525	30
49.9	1.829	29
16.6	5.356	29

Cell and atoms:
a b c (Å): 15.568 4.021 10.713
angles (deg): 90.00 90.00 90.00
Atoms (fractional coordinates):
Cs 0.227 0.250 0.026
Cs 0.273 0.750 0.526
Cs 0.727 0.250 0.474
Cs 0.773 0.750 0.974
Ag 0.021 0.750 0.081
Ag 0.479 0.250 0.581
Ag 0.521 0.750 0.419
Ag 0.979 0.250 0.919
Sn 0.015 0.250 0.346
Sn 0.485 0.750 0.846
Sn 0.515 0.250 0.154
Sn 0.985 0.750 0.654
S 0.080 0.750 0.846
S 0.084 0.250 0.561
S 0.116 0.750 0.273
S 0.384 0.250 0.773
S 0.416 0.750 0.061
S 0.420 0.250 0.346
S 0.580 0.750 0.654
S 0.584 0.250 0.939
S 0.616 0.750 0.227
S 0.884 0.250 0.727
S 0.916 0.750 0.439
S 0.920 0.250 0.154

(8)
Starting from a crystal structure in OQMD, relaxed with PBE, the powder diffraction line list of Cs2TbAg2S4 was computed for Cu Kα X-rays.
Peak positions follow from Bragg's law for the DFT cell and can differ from measured ones.

Principal peaks in the range 10 to 90 degrees two-theta, by intensity:
Position (°2θ)	d_spacing	intensity
31.0	2.881	100
27.9	3.196	59
49.3	1.849	42
40.1	2.248	41
26.1	3.410	32
20.8	4.269	27
48.5	1.877	23
49.6	1.838	21
15.4	5.758	20
79.5	1.205	19
19.1	4.652	18
13.0	6.819	17

Cell and atoms:
a b c (Å): 7.522 7.522 6.362
angles (deg): 90.00 90.00 130.05
Atoms (fractional coordinates):
Cs 0.000 0.500 0.227
Cs 0.500 0.000 0.773
Tb 0.000 0.000 0.500
Ag 0.000 0.000 0.000
Ag 0.500 0.500 0.500
S 0.149 0.345 0.747
S 0.345 0.149 0.253
S 0.655 0.851 0.253
S 0.851 0.655 0.747

(9)
Starting from a crystal structure in OQMD, relaxed with PBE, the powder diffraction line list of CsTbAg3S4 was computed for Cu Kα X-rays.
Peak positions follow from Bragg's law for the DFT cell and can differ from measured ones.

Principal peaks in the range 10 to 90 degrees two-theta, by intensity:
Position (°2θ)	d_spacing	intensity
14.3	6.200	100
40.3	2.240	58
35.6	2.523	51
24.8	3.588	44
27.7	3.224	43
32.6	2.749	42
46.5	1.954	40
34.1	2.628	38
20.3	4.368	38
28.8	3.100	37
31.6	2.829	35
31.9	2.807	34

Cell and atoms:
a b c (Å): 6.255 7.621 10.944
angles (deg): 90.00 103.05 90.00
Atoms (fractional coordinates):
Cs 0.239 0.250 0.386
Cs 0.761 0.750 0.614
Tb 0.120 0.250 0.810
Tb 0.880 0.750 0.190
Ag 0.284 0.556 0.030
Ag 0.284 0.944 0.030
Ag 0.424 0.750 0.274
Ag 0.576 0.250 0.726
Ag 0.716 0.056 0.970
Ag 0.716 0.444 0.970
S 0.050 0.250 0.046
S 0.165 0.750 0.405
S 0.384 0.512 0.797
S 0.384 0.988 0.797
S 0.616 0.012 0.203
S 0.616 0.488 0.203
S 0.835 0.250 0.595
S 0.950 0.750 0.954

(10)
Starting from a crystal structure in OQMD, relaxed with PBE, the powder diffraction line list of CsTcAgS3 was computed for Cu Kα X-rays.
Peak positions follow from Bragg's law for the DFT cell and can differ from measured ones.

Principal peaks in the range 10 to 90 degrees two-theta, by intensity:
Position (°2θ)	d_spacing	intensity
11.5	7.699	100
31.6	2.833	99
23.1	3.849	83
33.0	2.717	51
35.9	2.500	50
35.8	2.510	49
37.1	2.422	45
29.8	2.994	42
29.6	3.016	38
48.2	1.888	33
53.9	1.702	32
52.9	1.730	27

Cell and atoms:
a b c (Å): 8.574 3.776 10.008
angles (deg): 90.00 114.17 90.00
Atoms (fractional coordinates):
Cs 0.249 0.250 0.275
Cs 0.751 0.750 0.725
Tc 0.326 0.750 0.856
Tc 0.674 0.250 0.144
Ag 0.071 0.250 0.611
Ag 0.929 0.750 0.389
S 0.145 0.250 0.877
S 0.267 0.750 0.594
S 0.475 0.750 0.121
S 0.525 0.250 0.879
S 0.733 0.250 0.406
S 0.855 0.750 0.123

(11)
Starting from a crystal structure in OQMD, relaxed with PBE, the powder diffraction line list of Cs2ZrAg2Te2S2 was computed for Cu Kα X-rays.
Peak positions follow from Bragg's law for the DFT cell and can differ from measured ones.

Principal peaks in the range 10 to 90 degrees two-theta, by intensity:
Position (°2θ)	d_spacing	intensity
26.4	3.371	100
30.2	2.962	56
39.5	2.279	41
45.9	1.979	33
48.2	1.889	19
48.2	1.887	17
35.8	2.509	17
15.0	5.916	15
36.7	2.446	14
20.4	4.362	12
13.7	6.449	12
66.0	1.416	12

Cell and atoms:
a b c (Å): 6.443 6.449 8.168
angles (deg): 90.00 113.08 90.00
Atoms (fractional coordinates):
Cs 0.000 0.000 0.000
Cs 0.500 0.478 0.000
Zr 0.500 0.752 0.500
Ag 0.000 0.766 0.500
Ag 0.500 0.240 0.500
Te 0.144 0.500 0.285
Te 0.856 0.500 0.715
S 0.376 0.965 0.688
S 0.624 0.965 0.312

(12)
Starting from a crystal structure in OQMD, relaxed with PBE, the powder diffraction line list of Cs2ZrAg2Te2S2 was computed for Cu Kα X-rays.
Peak positions follow from Bragg's law for the DFT cell and can differ from measured ones.

Principal peaks in the range 10 to 90 degrees two-theta, by intensity:
Position (°2θ)	d_spacing	intensity
26.3	3.393	100
26.7	3.343	99
39.5	2.281	83
30.1	2.969	58
45.9	1.976	42
47.9	1.898	39
18.4	4.831	36
48.6	1.872	32
14.9	5.938	30
30.0	2.980	28
30.5	2.935	28
45.5	1.993	22

Cell and atoms:
a b c (Å): 8.158 8.158 6.439
angles (deg): 91.11 91.11 46.71
Atoms (fractional coordinates):
Cs 0.250 0.250 0.235
Cs 0.750 0.750 0.765
Zr 0.753 0.247 0.500
Ag 0.242 0.758 0.500
Ag 0.767 0.233 0.000
Te 0.392 0.389 0.742
Te 0.611 0.608 0.258
S 0.060 0.127 0.723
S 0.873 0.940 0.277

(13)
Starting from a crystal structure in OQMD, relaxed with PBE, the powder diffraction line list of CsAg3WS4 was computed for Cu Kα X-rays.
Peak positions follow from Bragg's law for the DFT cell and can differ from measured ones.

Principal peaks in the range 10 to 90 degrees two-theta, by intensity:
Position (°2θ)	d_spacing	intensity
39.7	2.272	100
27.8	3.213	66
13.8	6.425	49
19.5	4.543	47
24.0	3.710	45
64.9	1.437	29
72.0	1.312	29
34.2	2.623	22
49.1	1.855	21
46.9	1.937	20
53.4	1.717	16
57.4	1.606	15

Cell and atoms:
a b c (Å): 6.425 6.425 6.425
angles (deg): 90.00 90.00 90.00
Atoms (fractional coordinates):
Cs 0.000 0.000 0.000
Ag 0.000 0.500 0.500
Ag 0.500 0.000 0.500
Ag 0.500 0.500 0.000
W 0.500 0.500 0.500
S 0.292 0.292 0.292
S 0.292 0.708 0.708
S 0.708 0.292 0.708
S 0.708 0.708 0.292